This entry pairs a crystal structure of Mg7VH16 with its simulated X-ray diffraction stick pattern. Radiation: copper Kα. Structure: a cell relaxed with PBE.

Main lines, in order of rising 2θ (10° ≤ 2θ ≤ 90°):
h k l	two_theta	I/Imax
1 1 1	16.5	7.8
2 0 0	19.1	4.1
2 2 0	27.2	3.1
3 1 1	32.0	4.0
2 2 2	33.4	100.0
4 0 0	38.8	40.6
4 4 0	56.0	35.4
6 2 2	66.8	35.8
4 4 4	70.2	9.4
8 0 0	83.2	4.8

Cell and atoms:
Cell: 9.288 9.288 9.288 Å, 90.00 90.00 90.00°
Space group Fm-3m (No. 225)
Unique sites:
Mg (0.000, 0.000, 0.000) [4 per cell]
Mg (0.000, 0.250, 0.250) [24 per cell]
V (0.000, 0.000, 0.500) [4 per cell]
H (0.116, 0.116, 0.384) [32 per cell]
H (0.128, 0.128, 0.128) [32 per cell]


This entry pairs a crystal structure of CaMg14Mn with its simulated X-ray diffraction stick pattern. Radiation: copper Kα. Structure: a cell relaxed with PBE.

Main lines, in order of rising 2θ (10° ≤ 2θ ≤ 90°):
h k l	two_theta	I/Imax
0 0 4	32.0	12.4
0 2 2	32.2	25.1
4 0 0	34.7	39.0
2 0 4	36.5	51.2
2 2 2	36.7	100.0
4 2 2	48.0	15.4
0 2 6	57.2	17.1
6 2 2	63.5	18.0
4 2 6	68.6	18.8
2 4 4	70.1	13.3

Cell and atoms:
Cell: 10.352 6.406 11.187 Å, 90.00 90.00 90.00°
Space group Amm2 (No. 38)
Unique sites:
Ca (0.000, 0.000, 0.000) [2 per cell]
Mg (0.000, 0.244, 0.252) [4 per cell]
Mg (0.241, 0.000, 0.662) [4 per cell]
Mg (0.252, 0.243, 0.415) [8 per cell]
Mg (0.258, 0.000, 0.167) [4 per cell]
Mg (0.500, 0.000, 0.499) [2 per cell]
Mg (0.500, 0.000, 0.998) [2 per cell]
Mg (0.500, 0.249, 0.749) [4 per cell]
Mn (0.000, 0.000, 0.493) [2 per cell]